This entry pairs a crystal structure of YHo2Al3 with its calculated powder diffraction line list. Radiation: Cu Kα X-rays. Structure: a DFT-relaxed cell (PBE, Alexandria).
Intensities are scaled so that the largest is 1000.

Cell: 3.5793 3.5793 10.8296 Å, 90.00 90.00 90.00°
Space group P4/mmm (No. 123)
Unique sites:
1 Y 0.0000 0.0000 0.0000 (multiplicity 1)
2 Ho 0.0000 0.0000 0.3344 (multiplicity 2)
3 Al 0.5000 0.5000 0.1689 (multiplicity 2)
4 Al 0.5000 0.5000 0.5000 (multiplicity 1)

Top 12 peaks for 10 to 90 degrees two-theta, by angle:
- d 3.610, I = 284, (0 0 3)
- d 3.579, I = 555, (1 0 0)
- d 2.542, I = 1000, (1 0 3)
- d 2.531, I = 494, (1 1 0)
- d 2.072, I = 252, (1 1 3)
- d 1.790, I = 174, (2 0 0)
- d 1.612, I = 114, (1 0 6)
- d 1.603, I = 112, (2 0 3)
- d 1.601, I = 112, (2 1 0)
- d 1.470, I = 181, (1 1 6)
- d 1.463, I = 358, (2 1 3)
- d 1.132, I = 158, (3 1 0)

This entry pairs a crystal structure of Y3HoAl8 with its calculated powder diffraction line list. Radiation: Cu Kα X-rays. Structure: a DFT-relaxed cell (PBE, Alexandria).
Intensities are scaled so that the largest is 1000.

Cell: 5.5552 5.5552 27.3457 Å, 90.00 90.00 120.00°
Space group R3m (No. 160, hexagonal axes)
Unique sites:
1 Y 0.0000 0.0000 0.0000 (multiplicity 3)
2 Y 0.0000 0.0000 0.1247 (multiplicity 3)
3 Y 0.0000 0.0000 0.5003 (multiplicity 3)
4 Ho 0.0000 0.0000 0.6246 (multiplicity 3)
5 Al 0.0000 0.0000 0.3124 (multiplicity 3)
6 Al 0.0000 0.0000 0.8124 (multiplicity 3)
7 Al 0.9998 0.4999 0.0623 (multiplicity 9)
8 Al 0.0000 0.5000 0.5626 (multiplicity 9)

Top 12 peaks for 10 to 90 degrees two-theta, by angle:
- d 4.543, I = 563, (0 1 2)
- d 2.786, I = 568, (0 1 8)
- d 2.778, I = 563, (1 1 0)
- d 2.374, I = 1000, (1 0 10)
- d 2.369, I = 333, (2 0 2)
- d 1.610, I = 107, (1 0 16)
- d 1.605, I = 317, (3 0 0)
- d 1.515, I = 242, (2 1 10)
- d 1.513, I = 158, (3 0 6)
- d 1.393, I = 146, (0 2 16)
- d 1.389, I = 144, (2 2 0)
- d 1.199, I = 112, (1 3 10)

This entry pairs a crystal structure of Y4Ho2Al with its calculated powder diffraction line list. Radiation: Cu Kα X-rays. Structure: a DFT-relaxed cell (PBE, Alexandria).
Intensities are scaled so that the largest is 1000.

Cell: 3.6346 5.5964 20.9892 Å, 90.00 90.00 90.00°
Space group Immm (No. 71)
Unique sites:
1 Y 0.0000 0.0000 0.0810 (multiplicity 4)
2 Y 0.0000 0.0000 0.3754 (multiplicity 4)
3 Ho 0.0000 0.5000 0.2749 (multiplicity 4)
4 Al 0.0000 0.5000 0.0000 (multiplicity 2)

Top 12 peaks for 10 to 90 degrees two-theta, by angle:
- d 3.498, I = 131, (0 0 6)
- d 3.225, I = 169, (1 0 3)
- d 2.927, I = 387, (1 1 2)
- d 2.798, I = 307, (0 2 0)
- d 2.638, I = 1000, (0 1 7)
- d 2.114, I = 102, (1 2 3)
- d 1.962, I = 129, (1 0 9)
- d 1.689, I = 99, (1 0 11)
- d 1.583, I = 208, (0 3 7)
- d 1.524, I = 95, (2 2 0)
- d 1.498, I = 139, (2 1 7)
- d 1.446, I = 118, (1 2 11)